# 1
Ba2ScTi2BiO9: simulated powder diffractogram (Cu Kα (weighted mean of Kα1 and Kα2)), based on a structure optimized by DFT (GGA-PBE).
Intensities are scaled so that the largest is 100.

```
15
Lattice="2.888 -8.531 0.000 2.888 8.531 0.000 0.000 0.000 4.043" Properties=species:S:1:pos:R:3 pbc="T T T"
Ba 2.888 5.689 0.000
Ba 2.888 -5.689 0.000
Sc 0.000 0.000 2.022
Ti 2.888 2.831 2.022
Ti 2.888 -2.831 2.022
Bi 2.888 0.000 0.000
O 0.000 0.000 0.000
O 1.444 4.266 2.022
O 1.567 1.413 2.022
O 2.888 2.791 0.000
O 1.567 -1.413 2.022
O 1.444 -4.266 2.022
O 4.209 1.413 2.022
O 2.888 -2.791 0.000
O 4.209 -1.413 2.022
```

Most intense lines, 2θ from 5° to 70°, by angle:
- 21.95 deg, d 4.050, I 41.5
- 30.96 deg, d 2.888, I 25.8
- 31.25 deg, d 2.862, I 100.0
- 31.46 deg, d 2.844, I 24.5
- 38.30 deg, d 2.350, I 20.9
- 38.71 deg, d 2.326, I 20.5
- 44.72 deg, d 2.026, I 32.7
- 55.25 deg, d 1.663, I 20.1
- 55.85 deg, d 1.646, I 29.2
- 65.18 deg, d 1.431, I 19.7

***

# 2
DyB2Rh3: simulated powder diffractogram (Cu Kα (weighted mean of Kα1 and Kα2)), based on a structure optimized by DFT (GGA-PBE).
Intensities are scaled so that the largest is 100.

```
6
Lattice="5.443 0.000 0.000 -2.722 4.714 0.000 0.000 0.000 3.128" Properties=species:S:1:pos:R:3 pbc="T T T"
Dy 0.000 0.000 0.000
B 0.000 3.143 0.000
B 2.722 1.571 0.000
Rh -1.361 2.357 1.564
Rh 2.722 0.000 1.564
Rh 1.361 2.357 1.564
```

Most intense lines, 2θ from 5° to 70°, by angle:
- 18.82 deg, d 4.714, I 4.7
- 28.53 deg, d 3.128, I 6.6
- 34.41 deg, d 2.607, I 80.2
- 38.18 deg, d 2.357, I 100.0
- 44.11 deg, d 2.053, I 47.4
- 48.35 deg, d 1.882, I 12.0
- 59.06 deg, d 1.564, I 10.0
- 59.73 deg, d 1.548, I 32.8
- 66.60 deg, d 1.404, I 13.6
- 69.02 deg, d 1.361, I 18.7

***

# 3
Sr2NbGaO6: simulated powder diffractogram (Cu Kα (weighted mean of Kα1 and Kα2)), based on a structure optimized by DFT (GGA-PBE).
Intensities are scaled so that the largest is 100.

```
10
Lattice="0.000 4.000 4.000 4.000 0.000 4.000 4.000 4.000 0.000" Properties=species:S:1:pos:R:3 pbc="T T T"
Sr 2.000 2.000 2.000
Sr 6.000 6.000 6.000
Nb 0.000 0.000 0.000
Ga 4.000 4.000 4.000
O 4.000 4.000 2.006
O 4.000 2.006 4.000
O 5.994 4.000 4.000
O 2.006 4.000 4.000
O 4.000 5.994 4.000
O 4.000 4.000 5.994
```

Most intense lines, 2θ from 5° to 70°, by angle:
- 19.22 deg, d 4.619, I 1.3
- 22.22 deg, d 4.000, I 1.1
- 31.63 deg, d 2.829, I 100.0
- 37.28 deg, d 2.412, I 0.6
- 39.00 deg, d 2.310, I 4.2
- 45.34 deg, d 2.000, I 35.7
- 56.34 deg, d 1.633, I 39.1
- 66.06 deg, d 1.414, I 21.2